[1]
Calculated XRD peak list of Cs2AgBrCl3 for Cu Kα, from DFT lattice parameters and positions (PBE).
Kinematic intensities with the Lorentz-polarization factor, no thermal factor.

Cell and atoms:
```
data_Cs2AgBrCl3
_chemical_formula_sum 'Cs4 Ag2 Br2 Cl6'
_cell_length_a 4.6794
_cell_length_b 11.1671
_cell_length_c 10.6937
_cell_angle_alpha 90.00
_cell_angle_beta 90.00
_cell_angle_gamma 90.00
_symmetry_space_group_name_H-M 'A m m 2'
_symmetry_Int_Tables_number 38
loop_
_symmetry_equiv_pos_as_xyz
'x,y,z'
'-x,-y,z'
'-x,y,z'
'x,-y,z'
'x,y+1/2,z+1/2'
'-x,-y+1/2,z+1/2'
'-x,y+1/2,z+1/2'
'x,-y+1/2,z+1/2'
loop_
_atom_site_label
_atom_site_fract_x
_atom_site_fract_y
_atom_site_fract_z
Cs1 0.0000 0.2400 0.0000
Ag1 0.5000 0.0000 0.7473
Br1 0.5000 0.0000 0.5042
Cl1 0.5000 0.0000 0.9803
Cl2 0.5000 0.2212 0.7482
```

Top 8 peaks for 2θ = 10–90°, by angle:
- 11.5°, rel. 63
- 22.2°, rel. 32
- 24.8°, rel. 100
- 25.3°, rel. 67
- 30.0°, rel. 76
- 32.1°, rel. 42
- 33.5°, rel. 40
- 42.2°, rel. 52



[2]
Calculated XRD peak list of Cs2AgBr2Cl2 for Cu Kα, from DFT lattice parameters and positions (PBE).
Kinematic intensities with the Lorentz-polarization factor, no thermal factor.

Cell and atoms:
```
data_Cs2AgBr2Cl2
_chemical_formula_sum 'Cs2 Ag1 Br2 Cl2'
_cell_length_a 4.7333
_cell_length_b 7.8285
_cell_length_c 7.8723
_cell_angle_alpha 90.00
_cell_angle_beta 90.00
_cell_angle_gamma 90.00
_symmetry_space_group_name_H-M 'P m m 2'
_symmetry_Int_Tables_number 25
loop_
_symmetry_equiv_pos_as_xyz
'x,y,z'
'-x,-y,z'
'-x,y,z'
'x,-y,z'
loop_
_atom_site_label
_atom_site_fract_x
_atom_site_fract_y
_atom_site_fract_z
Cs1 0.0000 0.0000 0.0000
Cs2 0.0000 0.5000 0.4587
Ag1 0.5000 0.5000 0.9753
Br1 0.5000 0.2647 0.7425
Cl1 0.5000 0.2762 0.2001
```

Top 8 peaks for 2θ = 10–90°, by angle:
- 11.3°, rel. 46
- 21.9°, rel. 27
- 24.7°, rel. 100
- 29.5°, rel. 31
- 29.6°, rel. 32
- 32.3°, rel. 62
- 41.1°, rel. 24
- 50.7°, rel. 33



[3]
Calculated XRD peak list of Cs2AgBr3Cl for Cu Kα, from DFT lattice parameters and positions (PBE).
Kinematic intensities with the Lorentz-polarization factor, no thermal factor.

Cell and atoms:
```
data_Cs2AgBr3Cl
_chemical_formula_sum 'Cs4 Ag2 Br6 Cl2'
_cell_length_a 4.8063
_cell_length_b 11.0561
_cell_length_c 11.5210
_cell_angle_alpha 90.00
_cell_angle_beta 90.00
_cell_angle_gamma 90.00
_symmetry_space_group_name_H-M 'A m m 2'
_symmetry_Int_Tables_number 38
loop_
_symmetry_equiv_pos_as_xyz
'x,y,z'
'-x,-y,z'
'-x,y,z'
'x,-y,z'
'x,y+1/2,z+1/2'
'-x,-y+1/2,z+1/2'
'-x,y+1/2,z+1/2'
'x,-y+1/2,z+1/2'
loop_
_atom_site_label
_atom_site_fract_x
_atom_site_fract_y
_atom_site_fract_z
Cs1 0.0000 0.2397 0.0000
Ag1 0.5000 0.0000 0.7491
Br1 0.5000 0.0000 0.5229
Br2 0.5000 0.2372 0.7497
Cl1 0.5000 0.0000 0.9658
```

Top 8 peaks for 2θ = 10–90°, by angle:
- 11.1°, rel. 59
- 24.1°, rel. 82
- 24.5°, rel. 49
- 29.1°, rel. 100
- 31.0°, rel. 47
- 32.4°, rel. 43
- 37.4°, rel. 31
- 40.8°, rel. 37



[4]
Calculated XRD peak list of Cs2CuAgBr4Cl2 for Cu Kα, from DFT lattice parameters and positions (PBE).
Kinematic intensities with the Lorentz-polarization factor, no thermal factor.

Cell and atoms:
```
data_Cs2CuAgBr4Cl2
_chemical_formula_sum 'Cs4 Cu2 Ag2 Br8 Cl4'
_cell_length_a 7.5282
_cell_length_b 7.5282
_cell_length_c 11.2235
_cell_angle_alpha 90.00
_cell_angle_beta 90.00
_cell_angle_gamma 90.00
_symmetry_space_group_name_H-M 'I 4/m m m'
_symmetry_Int_Tables_number 139
_symmetry_space_group_name_Hall '-I 4 2'
loop_
_atom_site_label
_atom_site_fract_x
_atom_site_fract_y
_atom_site_fract_z
Cs1 0.0000 0.5000 0.2500
Cu1 0.0000 0.0000 0.0000
Ag1 0.0000 0.0000 0.5000
Br1 0.2249 0.2249 0.0000
Cl1 0.0000 0.0000 0.2851
```

Top 8 peaks for 2θ = 10–90°, by angle:
- 23.0°, rel. 100
- 28.6°, rel. 84
- 31.9°, rel. 50
- 33.7°, rel. 85
- 41.2°, rel. 37
- 47.1°, rel. 60
- 48.4°, rel. 27
- 59.1°, rel. 27



[5]
Calculated XRD peak list of Cs2AgIBrCl2 for Cu Kα, from DFT lattice parameters and positions (PBE).
Kinematic intensities with the Lorentz-polarization factor, no thermal factor.

Cell and atoms:
```
data_Cs2AgIBrCl2
_chemical_formula_sum 'Cs4 Ag2 I2 Br2 Cl4'
_cell_length_a 5.4430
_cell_length_b 5.4430
_cell_length_c 17.8904
_cell_angle_alpha 90.00
_cell_angle_beta 90.00
_cell_angle_gamma 90.00
_symmetry_space_group_name_H-M 'I 4 m m'
_symmetry_Int_Tables_number 107
_symmetry_space_group_name_Hall 'I 4 -2'
loop_
_atom_site_label
_atom_site_fract_x
_atom_site_fract_y
_atom_site_fract_z
Cs1 0.0000 0.0000 0.0000
Cs2 0.0000 0.0000 0.2575
Ag1 0.0000 0.0000 0.6238
I1 0.0000 0.0000 0.7816
Br1 0.0000 0.0000 0.4748
Cl1 0.0000 0.5000 0.1268
```

Top 8 peaks for 2θ = 10–90°, by angle:
- 23.1°, rel. 100
- 29.9°, rel. 54
- 30.6°, rel. 55
- 32.9°, rel. 67
- 45.1°, rel. 44
- 47.2°, rel. 24
- 53.2°, rel. 21
- 57.4°, rel. 17



[6]
Calculated XRD peak list of Rb2CuAgBr2Cl4 for Cu Kα, from DFT lattice parameters and positions (PBE).
Kinematic intensities with the Lorentz-polarization factor, no thermal factor.

Cell and atoms:
```
data_Rb2CuAgBr2Cl4
_chemical_formula_sum 'Rb4 Cu2 Ag2 Br4 Cl8'
_cell_length_a 7.1156
_cell_length_b 7.1156
_cell_length_c 11.1751
_cell_angle_alpha 90.00
_cell_angle_beta 90.00
_cell_angle_gamma 90.00
_symmetry_space_group_name_H-M 'I 4/m m m'
_symmetry_Int_Tables_number 139
_symmetry_space_group_name_Hall '-I 4 2'
loop_
_atom_site_label
_atom_site_fract_x
_atom_site_fract_y
_atom_site_fract_z
Rb1 0.0000 0.5000 0.2500
Cu1 0.0000 0.0000 0.0000
Ag1 0.0000 0.0000 0.5000
Br1 0.0000 0.0000 0.2717
Cl1 0.2254 0.2254 0.0000
```

Top 8 peaks for 2θ = 10–90°, by angle:
- 17.6°, rel. 44
- 23.8°, rel. 55
- 25.0°, rel. 86
- 29.8°, rel. 65
- 32.0°, rel. 66
- 35.7°, rel. 100
- 41.1°, rel. 42
- 48.7°, rel. 73



[7]
Calculated XRD peak list of Ag2H2BrClO2 for Cu Kα, from DFT lattice parameters and positions (PBE).
Kinematic intensities with the Lorentz-polarization factor, no thermal factor.

Cell and atoms:
```
data_Ag2H2BrClO2
_chemical_formula_sum 'Ag2 H2 Br1 Cl1 O2'
_cell_length_a 3.7192
_cell_length_b 3.7192
_cell_length_c 10.2491
_cell_angle_alpha 90.00
_cell_angle_beta 90.00
_cell_angle_gamma 120.00
_symmetry_space_group_name_H-M 'P 3 m 1'
_symmetry_Int_Tables_number 156
loop_
_symmetry_equiv_pos_as_xyz
'x,y,z'
'-y,x-y,z'
'-x+y,-x,z'
'-y,-x,z'
'-x+y,y,z'
'x,x-y,z'
loop_
_atom_site_label
_atom_site_fract_x
_atom_site_fract_y
_atom_site_fract_z
Ag1 0.0000 0.0000 0.0000
Ag2 0.3333 0.6667 0.4822
H1 0.6667 0.3333 0.3064
H2 0.6667 0.3333 0.8212
Br1 0.0000 0.0000 0.6534
Cl1 0.3333 0.6667 0.1527
O1 0.6667 0.3333 0.4026
O2 0.6667 0.3333 0.9172
```

Top 8 peaks for 2θ = 10–90°, by angle:
- 17.3°, rel. 58
- 27.7°, rel. 27
- 29.1°, rel. 69
- 32.8°, rel. 28
- 38.4°, rel. 100
- 49.0°, rel. 39
- 63.9°, rel. 21
- 84.5°, rel. 19



[8]
Calculated XRD peak list of Ag2HgBr3Cl for Cu Kα, from DFT lattice parameters and positions (PBE).
Kinematic intensities with the Lorentz-polarization factor, no thermal factor.

Cell and atoms:
```
data_Ag2HgBr3Cl
_chemical_formula_sum 'Ag2 Hg1 Br3 Cl1'
_cell_length_a 6.0941
_cell_length_b 6.1471
_cell_length_c 7.4642
_cell_angle_alpha 113.03
_cell_angle_beta 113.62
_cell_angle_gamma 91.07
_symmetry_space_group_name_H-M 'P 1'
_symmetry_Int_Tables_number 1
loop_
_symmetry_equiv_pos_as_xyz
'x,y,z'
loop_
_atom_site_label
_atom_site_fract_x
_atom_site_fract_y
_atom_site_fract_z
Ag1 0.0000 0.0000 0.0000
Ag2 0.2627 0.7514 0.5071
Hg1 0.7587 0.2473 0.5026
Br1 0.1475 0.6149 0.7710
Br2 0.3913 0.3786 0.2463
Br3 0.8609 0.8563 0.2479
Cl1 0.6346 0.1214 0.7495
```

Top 8 peaks for 2θ = 10–90°, by angle:
- 16.2°, rel. 38
- 24.9°, rel. 56
- 25.2°, rel. 100
- 25.4°, rel. 53
- 41.2°, rel. 27
- 41.3°, rel. 26
- 41.7°, rel. 51
- 49.2°, rel. 27